The following is a theoretical X-ray powder pattern of MnBe4Mo. It was derived from a structure optimized by DFT (PBE), using a wavelength of 1.5418 Å.
Lines closer than 0.1° are merged.

Most intense lines, 2θ = 10–80°, low angle first:
d 3.512, 2θ 25.36, rel. 100
d 3.042, 2θ 29.36, rel. 9
d 2.151, 2θ 42.01, rel. 89
d 1.834, 2θ 49.71, rel. 69
d 1.756, 2θ 52.08, rel. 3
d 1.521, 2θ 60.92, rel. 10
d 1.396, 2θ 67.06, rel. 18
d 1.360, 2θ 69.05, rel. 3
d 1.242, 2θ 76.76, rel. 28

Cell and atoms:
```
data_MnBe4Mo
_cell_length_a 6.0831
_cell_length_b 6.0831
_cell_length_c 6.0831
_cell_angle_alpha 90.00
_cell_angle_beta 90.00
_cell_angle_gamma 90.00
_symmetry_space_group_name_H-M 'F -4 3 m'
_symmetry_Int_Tables_number 216
_symmetry_space_group_name_Hall 'F -4 2 3'
loop_
_atom_site_label
_atom_site_fract_x
_atom_site_fract_y
_atom_site_fract_z
_atom_site_occupancy
Mn1 0.0000 0.0000 0.0000 1
Be1 0.1247 0.1247 0.3753 1
Mo1 0.2500 0.2500 0.7500 1
```

The following is a theoretical X-ray powder pattern of Mn3BeMo. It was derived from a structure optimized by DFT (PBE), using a wavelength of 1.5418 Å.
Lines closer than 0.1° are merged.

Most intense lines, 2θ = 10–80°, low angle first:
d 3.891, 2θ 22.86, rel. 6
d 2.751, 2θ 32.54, rel. 9
d 2.246, 2θ 40.14, rel. 100
d 1.945, 2θ 46.69, rel. 52
d 1.740, 2θ 52.60, rel. 3
d 1.588, 2θ 58.07, rel. 4
d 1.376, 2θ 68.17, rel. 31
d 1.297, 2θ 72.94, rel. 1
d 1.230, 2θ 77.59, rel. 2

Cell and atoms:
```
data_Mn3BeMo
_cell_length_a 3.8909
_cell_length_b 3.8909
_cell_length_c 3.8909
_cell_angle_alpha 90.00
_cell_angle_beta 90.00
_cell_angle_gamma 90.00
_symmetry_space_group_name_H-M 'P m -3 m'
_symmetry_Int_Tables_number 221
_symmetry_space_group_name_Hall '-P 4 2 3'
loop_
_atom_site_label
_atom_site_fract_x
_atom_site_fract_y
_atom_site_fract_z
_atom_site_occupancy
Mn1 0.0000 0.0000 0.5000 1
Be1 0.0000 0.0000 0.0000 1
Mo1 0.5000 0.5000 0.5000 1
```

The following is a theoretical X-ray powder pattern of MnBe2Mo. It was derived from a structure optimized by DFT (PBE), using a wavelength of 1.5418 Å.
Lines closer than 0.1° are merged.

Most intense lines, 2θ = 10–80°, low angle first:
d 5.395, 2θ 16.43, rel. 26
d 3.159, 2θ 28.25, rel. 100
d 2.698, 2θ 33.21, rel. 66
d 2.587, 2θ 34.68, rel. 58
d 2.051, 2θ 44.15, rel. 77
d 2.001, 2θ 45.31, rel. 72
d 1.867, 2θ 48.78, rel. 57
d 1.607, 2θ 57.32, rel. 52
d 1.348, 2θ 69.74, rel. 23
d 1.206, 2θ 79.48, rel. 26

Cell and atoms:
```
data_MnBe2Mo
_cell_length_a 2.5867
_cell_length_b 3.1593
_cell_length_c 5.3950
_cell_angle_alpha 90.00
_cell_angle_beta 90.00
_cell_angle_gamma 90.00
_symmetry_space_group_name_H-M 'P m m m'
_symmetry_Int_Tables_number 47
loop_
_symmetry_equiv_pos_as_xyz
'x,y,z'
'-x,-y,-z'
'-x,-y,z'
'x,y,-z'
'x,-y,-z'
'-x,y,z'
'-x,y,-z'
'x,-y,z'
loop_
_atom_site_label
_atom_site_fract_x
_atom_site_fract_y
_atom_site_fract_z
_atom_site_occupancy
Mn1 0.0000 0.0000 0.0000 1
Be1 0.5000 0.5000 0.2145 1
Mo1 0.0000 0.0000 0.5000 1
```

The following is a theoretical X-ray powder pattern of Nd2Mn2BeN6. It was derived from a structure optimized by DFT (PBE), using a wavelength of 1.5418 Å.
Lines closer than 0.1° are merged.

Most intense lines, 2θ = 10–80°, low angle first:
d 4.039, 2θ 22.01, rel. 52
d 2.988, 2θ 29.91, rel. 38
d 2.740, 2θ 32.68, rel. 100
d 2.581, 2θ 34.75, rel. 36
d 2.563, 2θ 35.00, rel. 27
d 2.268, 2θ 39.75, rel. 31
d 2.020, 2θ 44.88, rel. 27
d 1.872, 2θ 48.64, rel. 34
d 1.582, 2θ 58.32, rel. 19
d 1.450, 2θ 64.23, rel. 24

Cell and atoms:
```
data_Nd2Mn2BeN6
_cell_length_a 5.4809
_cell_length_b 5.4809
_cell_length_c 15.3805
_cell_angle_alpha 90.00
_cell_angle_beta 90.00
_cell_angle_gamma 120.00
_symmetry_space_group_name_H-M 'R -3 m'
_symmetry_Int_Tables_number 166
_symmetry_space_group_name_Hall '-R 3 2"'
loop_
_atom_site_label
_atom_site_fract_x
_atom_site_fract_y
_atom_site_fract_z
_atom_site_occupancy
Nd1 0.0000 0.0000 0.2295 1
Mn1 0.0000 0.0000 0.4301 1
Be1 0.0000 0.0000 0.0000 1
N1 0.0146 0.5073 0.7420 1
```

The following is a theoretical X-ray powder pattern of Mn2BeOsN. It was derived from a structure optimized by DFT (PBE), using a wavelength of 1.5418 Å.
Lines closer than 0.1° are merged.

Most intense lines, 2θ = 10–80°, low angle first:
d 4.735, 2θ 18.74, rel. 100
d 4.192, 2θ 21.19, rel. 93
d 3.139, 2θ 28.43, rel. 87
d 2.368, 2θ 38.00, rel. 54
d 2.118, 2θ 42.70, rel. 25
d 2.062, 2θ 43.92, rel. 56
d 1.917, 2θ 47.43, rel. 19
d 1.890, 2θ 48.14, rel. 41
d 1.569, 2θ 58.84, rel. 29
d 1.555, 2θ 59.45, rel. 22

Cell and atoms:
```
data_Mn2BeOsN
_cell_length_a 4.7354
_cell_length_b 4.7354
_cell_length_c 4.1922
_cell_angle_alpha 90.00
_cell_angle_beta 90.00
_cell_angle_gamma 90.00
_symmetry_space_group_name_H-M 'P 4/m m m'
_symmetry_Int_Tables_number 123
_symmetry_space_group_name_Hall '-P 4 2'
loop_
_atom_site_label
_atom_site_fract_x
_atom_site_fract_y
_atom_site_fract_z
_atom_site_occupancy
Mn1 0.0000 0.5000 0.0000 1
Be1 0.0000 0.0000 0.5000 1
Os1 0.0000 0.0000 0.0000 1
N1 0.5000 0.5000 0.5000 1
```

The following is a theoretical X-ray powder pattern of MnBeSe2N. It was derived from a structure optimized by DFT (PBE), using a wavelength of 1.5418 Å.
Lines closer than 0.1° are merged.

Most intense lines, 2θ = 10–80°, low angle first:
d 5.031, 2θ 17.63, rel. 9
d 3.558, 2θ 25.03, rel. 21
d 3.077, 2θ 29.02, rel. 10
d 2.516, 2θ 35.69, rel. 70
d 2.327, 2θ 38.69, rel. 100
d 1.947, 2θ 46.64, rel. 11
d 1.779, 2θ 51.37, rel. 23
d 1.539, 2θ 60.12, rel. 13
d 1.413, 2θ 66.12, rel. 41
d 1.312, 2θ 71.95, rel. 16

Cell and atoms:
```
data_MnBeSe2N
_cell_length_a 5.0312
_cell_length_b 5.0312
_cell_length_c 3.0766
_cell_angle_alpha 90.00
_cell_angle_beta 90.00
_cell_angle_gamma 90.00
_symmetry_space_group_name_H-M 'P 4/m m m'
_symmetry_Int_Tables_number 123
_symmetry_space_group_name_Hall '-P 4 2'
loop_
_atom_site_label
_atom_site_fract_x
_atom_site_fract_y
_atom_site_fract_z
_atom_site_occupancy
Mn1 0.0000 0.0000 0.0000 1
Be1 0.5000 0.5000 0.5000 1
Se1 0.0000 0.5000 0.5000 1
N1 0.5000 0.5000 0.0000 1
```